Calculated powder X-ray diffraction pattern of HgTeO3 for Cu Kα, from a structure optimized by DFT (GGA-PBE).

The 8 most intense peaks (2θ = 15–90°), sorted by position:
d = 5.639 Å, 2θ = 15.72°, I = 16
d = 3.215 Å, 2θ = 27.74°, I = 100
d = 2.858 Å, 2θ = 31.30°, I = 81
d = 2.549 Å, 2θ = 35.21°, I = 15
d = 2.136 Å, 2θ = 42.31°, I = 34
d = 2.007 Å, 2θ = 45.17°, I = 25
d = 1.711 Å, 2θ = 53.56°, I = 33
d = 1.650 Å, 2θ = 55.71°, I = 23

Atomic structure:
Cell lengths 5.7159, 5.7159, 16.9165 Å; angles 90.00, 90.00, 120.00 degrees
Space group R-3 (No. 148, hexagonal axes)
Symmetry-distinct sites (fractional):
Hg1 0.0000 0.0000 0.1499 x6
Te1 0.0000 0.0000 0.3725 x6
O1 0.0199 0.6426 0.0896 x18

Calculated powder X-ray diffraction pattern of PrSiP3 for Cu Kα, from a structure optimized by DFT (GGA-PBE).

The 8 most intense peaks (2θ = 15–90°), sorted by position:
d = 3.903 Å, 2θ = 22.79°, I = 100
d = 3.448 Å, 2θ = 25.84°, I = 70
d = 2.939 Å, 2θ = 30.41°, I = 39
d = 2.860 Å, 2θ = 31.28°, I = 42
d = 2.551 Å, 2θ = 35.18°, I = 36
d = 2.517 Å, 2θ = 35.67°, I = 70
d = 2.373 Å, 2θ = 37.92°, I = 34
d = 2.050 Å, 2θ = 44.19°, I = 38

Atomic structure:
Cell lengths 5.8779, 25.5092, 5.7195 Å; angles 90.00, 90.00, 90.00 degrees
Space group Pna2_1 (No. 33)
Symmetry-distinct sites (fractional):
Pr1 0.0251 0.0898 0.0000 x4
Pr2 0.0248 0.4023 0.4996 x4
Si1 0.0562 0.7942 0.0792 x4
Si2 0.1160 0.2910 0.0770 x4
P1 0.0178 0.3727 0.9970 x4
P2 0.0179 0.7893 0.4712 x4
P3 0.0287 0.1237 0.4969 x4
P4 0.0806 0.2847 0.4695 x4
P5 0.1856 0.5022 0.2047 x4
P6 0.1881 0.5020 0.8030 x4

Calculated powder X-ray diffraction pattern of RePbIO4 for Cu Kα, from a structure optimized by DFT (GGA-PBE).

The 8 most intense peaks (2θ = 15–90°), sorted by position:
d = 3.799 Å, 2θ = 23.42°, I = 69
d = 3.572 Å, 2θ = 24.93°, I = 67
d = 3.361 Å, 2θ = 26.52°, I = 55
d = 3.328 Å, 2θ = 26.79°, I = 100
d = 2.952 Å, 2θ = 30.27°, I = 78
d = 2.899 Å, 2θ = 30.84°, I = 76
d = 2.886 Å, 2θ = 30.98°, I = 63
d = 2.208 Å, 2θ = 40.86°, I = 57

Atomic structure:
Cell lengths 5.9049, 9.9253, 4.4855 Å; angles 90.00, 90.00, 90.00 degrees
Space group Pmn2_1 (No. 31)
Symmetry-distinct sites (fractional):
Re1 0.0000 0.1256 0.0000 x2
Pb1 0.0000 0.6992 0.9490 x2
I1 0.0000 0.4576 0.4228 x2
O1 0.0000 0.1218 0.3877 x2
O2 0.0000 0.9575 0.8790 x2
O3 0.2489 0.2124 0.8947 x4

Calculated powder X-ray diffraction pattern of FeAgCl4 for Cu Kα, from a structure optimized by DFT (GGA-PBE).

The 8 most intense peaks (2θ = 15–90°), sorted by position:
d = 5.232 Å, 2θ = 16.95°, I = 100
d = 5.152 Å, 2θ = 17.21°, I = 78
d = 3.928 Å, 2θ = 22.64°, I = 43
d = 3.299 Å, 2θ = 27.03°, I = 67
d = 2.626 Å, 2θ = 34.14°, I = 32
d = 2.616 Å, 2θ = 34.28°, I = 53
d = 2.147 Å, 2θ = 42.08°, I = 39
d = 1.964 Å, 2θ = 46.22°, I = 65

Atomic structure:
Cell lengths 6.0712, 6.0757, 10.3032 Å; angles 90.00, 90.00, 90.00 degrees
Space group P222 (No. 16)
Symmetry-distinct sites (fractional):
Fe1 0.0000 0.0000 0.0000 x1
Fe2 0.5000 0.0000 0.5000 x1
Ag1 0.0000 0.0000 0.5000 x1
Ag2 0.0000 0.5000 0.0000 x1
Cl1 0.2184 0.2051 0.8753 x4
Cl2 0.2968 0.2217 0.3771 x4

Calculated powder X-ray diffraction pattern of AgSbPb for Cu Kα, from a structure optimized by DFT (GGA-PBE).

The 8 most intense peaks (2θ = 15–90°), sorted by position:
d = 2.903 Å, 2θ = 30.80°, I = 100
d = 2.854 Å, 2θ = 31.35°, I = 24
d = 2.553 Å, 2θ = 35.15°, I = 23
d = 2.442 Å, 2θ = 36.81°, I = 26
d = 2.353 Å, 2θ = 38.24°, I = 30
d = 1.855 Å, 2θ = 49.11°, I = 14
d = 1.765 Å, 2θ = 51.81°, I = 15
d = 1.532 Å, 2θ = 60.42°, I = 18

Atomic structure:
Cell lengths 8.0842, 4.8834, 8.0577 Å; angles 90.00, 90.00, 90.00 degrees
Space group Pnma (No. 62)
Symmetry-distinct sites (fractional):
Ag1 0.1645 0.2500 0.0780 x4
Sb1 0.2235 0.7500 0.9088 x4
Pb1 0.0042 0.7500 0.3014 x4

Calculated powder X-ray diffraction pattern of YHoNCl3 for Cu Kα, from a structure optimized by DFT (GGA-PBE).

The 8 most intense peaks (2θ = 15–90°), sorted by position:
d = 3.272 Å, 2θ = 27.26°, I = 100
d = 3.081 Å, 2θ = 28.98°, I = 52
d = 2.695 Å, 2θ = 33.24°, I = 67
d = 2.600 Å, 2θ = 34.49°, I = 40
d = 2.553 Å, 2θ = 35.15°, I = 45
d = 2.445 Å, 2θ = 36.76°, I = 49
d = 2.312 Å, 2θ = 38.96°, I = 32
d = 1.991 Å, 2θ = 45.56°, I = 37

Atomic structure:
Cell lengths 15.9746, 3.8342, 10.5666 Å; angles 90.00, 120.44, 90.00 degrees
Space group C2/m (No. 12)
Symmetry-distinct sites (fractional):
Y1 0.1365 0.0000 0.2929 x4
Ho1 0.0855 0.5000 0.9536 x4
N1 0.0754 0.5000 0.1564 x4
Cl1 0.0507 0.0000 0.7483 x4
Cl2 0.1642 0.5000 0.5153 x4
Cl3 0.2218 0.0000 0.1115 x4

Calculated powder X-ray diffraction pattern of Cs2PtBr3Cl for Cu Kα, from a structure optimized by DFT (GGA-PBE).

The 8 most intense peaks (2θ = 15–90°), sorted by position:
d = 4.147 Å, 2θ = 21.43°, I = 62
d = 3.692 Å, 2θ = 24.11°, I = 100
d = 3.622 Å, 2θ = 24.58°, I = 62
d = 3.041 Å, 2θ = 29.37°, I = 54
d = 2.800 Å, 2θ = 31.96°, I = 55
d = 2.683 Å, 2θ = 33.39°, I = 42
d = 2.170 Å, 2θ = 41.61°, I = 42
d = 1.937 Å, 2θ = 46.90°, I = 43

Atomic structure:
Cell lengths 4.9095, 10.7329, 11.1996 Å; angles 90.00, 90.00, 90.00 degrees
Space group Amm2 (No. 38)
Symmetry-distinct sites (fractional):
Cs1 0.0000 0.2398 0.0000 x4
Pt1 0.5000 0.0000 0.7496 x2
Br1 0.5000 0.0000 0.5301 x2
Br2 0.5000 0.2301 0.7497 x4
Cl1 0.5000 0.0000 0.9589 x2

Calculated powder X-ray diffraction pattern of PuU for Cu Kα, from a structure optimized by DFT (GGA-PBE).

The 5 most intense peaks (2θ = 15–90°), sorted by position:
d = 2.610 Å, 2θ = 34.36°, I = 100
d = 1.846 Å, 2θ = 49.38°, I = 74
d = 1.507 Å, 2θ = 61.54°, I = 26
d = 1.305 Å, 2θ = 72.42°, I = 12
d = 1.167 Å, 2θ = 82.67°, I = 36

Atomic structure:
Cell lengths 5.2203, 5.2203, 5.2203 Å; angles 90.00, 90.00, 90.00 degrees
Space group Fm-3m (No. 225)
Symmetry-distinct sites (fractional):
Pu1 0.0000 0.0000 0.0000 x4
U1 0.0000 0.0000 0.5000 x4

Calculated powder X-ray diffraction pattern of ZnSiAg2S4 for Cu Kα, from a structure optimized by DFT (GGA-PBE).

The 8 most intense peaks (2θ = 15–90°), sorted by position:
d = 3.277 Å, 2θ = 27.21°, I = 87
d = 3.249 Å, 2θ = 27.45°, I = 77
d = 3.098 Å, 2θ = 28.82°, I = 66
d = 2.926 Å, 2θ = 30.55°, I = 100
d = 1.984 Å, 2θ = 45.74°, I = 60
d = 1.845 Å, 2θ = 49.39°, I = 36
d = 1.807 Å, 2θ = 50.51°, I = 57
d = 1.693 Å, 2θ = 54.18°, I = 40

Atomic structure:
Cell lengths 7.4024, 7.0483, 6.4978 Å; angles 90.00, 90.00, 90.00 degrees
Space group Pmn2_1 (No. 31)
Symmetry-distinct sites (fractional):
Zn1 0.0000 0.1395 0.0000 x2
Si1 0.0000 0.8382 0.4980 x2
Ag1 0.2447 0.3324 0.4799 x4
S1 0.0000 0.1136 0.6351 x2
S2 0.0000 0.8479 0.1678 x2
S3 0.2376 0.6804 0.5919 x4

Calculated powder X-ray diffraction pattern of Dy3Al for Cu Kα, from a structure optimized by DFT (GGA-PBE).

The 8 most intense peaks (2θ = 15–90°), sorted by position:
d = 3.946 Å, 2θ = 22.53°, I = 27
d = 2.957 Å, 2θ = 30.22°, I = 24
d = 2.649 Å, 2θ = 33.84°, I = 24
d = 2.582 Å, 2θ = 34.74°, I = 100
d = 1.973 Å, 2θ = 46.00°, I = 18
d = 1.707 Å, 2θ = 53.68°, I = 23
d = 1.516 Å, 2θ = 61.12°, I = 20
d = 1.435 Å, 2θ = 64.99°, I = 21

Atomic structure:
Cell lengths 6.8291, 6.8291, 5.2978 Å; angles 90.00, 90.00, 120.00 degrees
Space group P6_3/mmc (No. 194)
Symmetry-distinct sites (fractional):
Dy1 0.1748 0.3496 0.2500 x6
Al1 0.3333 0.6667 0.7500 x2

Calculated powder X-ray diffraction pattern of SmZrB4 for Cu Kα, from a structure optimized by DFT (GGA-PBE).

The 8 most intense peaks (2θ = 15–90°), sorted by position:
d = 3.812 Å, 2θ = 23.33°, I = 44
d = 2.802 Å, 2θ = 31.94°, I = 71
d = 2.258 Å, 2θ = 39.94°, I = 100
d = 1.617 Å, 2θ = 56.93°, I = 19
d = 1.576 Å, 2θ = 58.57°, I = 26
d = 1.489 Å, 2θ = 62.36°, I = 19
d = 1.315 Å, 2θ = 71.79°, I = 17
d = 1.233 Å, 2θ = 77.38°, I = 15

Atomic structure:
Cell lengths 3.2350, 3.2350, 7.6246 Å; angles 90.00, 90.00, 120.00 degrees
Space group P6/mmm (No. 191)
Symmetry-distinct sites (fractional):
Sm1 0.0000 0.0000 0.0000 x1
Zr1 0.0000 0.0000 0.5000 x1
B1 0.3333 0.6667 0.2714 x4